Theoretical XRD peak list
Compound: Sm3Zn4In
Radiation: Cu Kα
Structure: a cell relaxed with GGA-PBE
No peak broadening, texture or thermal motion is included.

Crystal structure
Cell: 8.807 8.807 8.807 Å, 155.58 135.16 51.71°
Positions (direct):
1 Sm 0.000 0.000 0.000
2 Sm 0.298 0.798 0.500
3 Sm 0.702 0.202 0.500
4 Zn 0.067 0.373 0.694
5 Zn 0.321 0.627 0.694
6 Zn 0.679 0.373 0.306
7 Zn 0.933 0.627 0.306
8 In 0.500 0.500 0.000

Most intense lines, 2θ = 10–90°, low angle first:
2theta  I (rel.)
29.64  100
35.02  43
37.24  28
39.96  22
48.85  41
68.00  23

=====

Theoretical XRD peak list
Compound: Sc4SnBiS
Radiation: Cu Kα
Structure: a cell relaxed with GGA-PBE
No peak broadening, texture or thermal motion is included.

Crystal structure
Cell: 8.318 8.318 6.723 Å, 90.00 90.00 132.84°
Positions (direct):
1 Sc 0.000 0.500 0.000
2 Sc 0.000 0.500 0.500
3 Sc 0.082 0.918 0.750
4 Sc 0.410 0.590 0.750
5 Sc 0.500 0.000 0.000
6 Sc 0.500 0.000 0.500
7 Sc 0.590 0.410 0.250
8 Sc 0.918 0.082 0.250
9 Sn 0.112 0.888 0.250
10 Sn 0.888 0.112 0.750
11 Bi 0.394 0.606 0.250
12 Bi 0.606 0.394 0.750
13 S 0.246 0.754 0.750
14 S 0.754 0.246 0.250

Most intense lines, 2θ = 10–90°, low angle first:
2theta  I (rel.)
25.73  100
26.51  55
26.80  56
35.61  64
35.82  63
38.05  96

=====

Theoretical XRD peak list
Compound: Fe5Au4
Radiation: Cu Kα
Structure: a cell relaxed with GGA-PBE
No peak broadening, texture or thermal motion is included.

Crystal structure
Cell: 6.107 6.107 6.107 Å, 96.22 96.22 141.58°
Positions (direct):
1 Fe 0.000 0.000 0.000
2 Fe 0.347 0.347 0.694
3 Fe 0.347 0.653 0.000
4 Fe 0.653 0.347 0.000
5 Fe 0.653 0.653 0.306
6 Au 0.000 0.320 0.320
7 Au 0.000 0.680 0.680
8 Au 0.320 0.000 0.320
9 Au 0.680 0.000 0.680

Most intense lines, 2θ = 10–90°, low angle first:
2theta  I (rel.)
33.17  29
40.04  100
45.12  18
47.29  30
67.42  20
82.98  21

=====

Theoretical XRD peak list
Compound: La4PrEr3Te8
Radiation: Cu Kα
Structure: a cell relaxed with GGA-PBE
No peak broadening, texture or thermal motion is included.

Crystal structure
Cell: 8.991 8.991 8.991 Å, 59.50 59.50 59.50°
Positions (direct):
1 La 0.000 0.000 0.000
2 La 0.000 0.500 0.500
3 La 0.500 0.000 0.500
4 La 0.500 0.500 0.000
5 Pr 0.500 0.500 0.500
6 Er 0.000 0.000 0.500
7 Er 0.000 0.500 0.000
8 Er 0.500 0.000 0.000
9 Te 0.237 0.749 0.749
10 Te 0.243 0.243 0.243
11 Te 0.251 0.251 0.763
12 Te 0.251 0.763 0.251
13 Te 0.749 0.237 0.749
14 Te 0.749 0.749 0.237
15 Te 0.757 0.757 0.757
16 Te 0.763 0.251 0.251

Most intense lines, 2θ = 10–90°, low angle first:
2theta  I (rel.)
28.18  100
40.12  38
40.43  38
50.01  20
65.74  17
66.18  17

=====

Theoretical XRD peak list
Compound: Sr2Zn
Radiation: Cu Kα
Structure: a cell relaxed with GGA-PBE
No peak broadening, texture or thermal motion is included.

Crystal structure
Cell: 7.584 7.584 9.535 Å, 125.28 125.28 32.97°
Positions (direct):
1 Sr 0.086 0.086 0.382
2 Sr 0.325 0.325 0.918
3 Sr 0.675 0.675 0.082
4 Sr 0.914 0.914 0.618
5 Zn 0.392 0.392 0.334
6 Zn 0.608 0.608 0.666

Most intense lines, 2θ = 10–90°, low angle first:
2theta  I (rel.)
12.41  30
27.80  100
28.68  93
31.08  29
35.65  41
41.98  39

=====

Theoretical XRD peak list
Compound: LaCoCuH6
Radiation: Cu Kα
Structure: a cell relaxed with GGA-PBE
No peak broadening, texture or thermal motion is included.

Crystal structure
Cell: 4.511 4.511 4.356 Å, 90.00 90.00 120.00°
Positions (direct):
1 La 0.000 0.000 0.000
2 Co 0.667 0.333 0.500
3 Cu 0.333 0.667 0.500
4 H 0.512 0.024 0.259
5 H 0.512 0.024 0.741
6 H 0.512 0.488 0.259
7 H 0.512 0.488 0.741
8 H 0.976 0.488 0.259
9 H 0.976 0.488 0.741

Most intense lines, 2θ = 10–90°, low angle first:
2theta  I (rel.)
30.74  100
39.97  42
41.46  12
51.26  23
58.95  26
66.91  20

=====

Theoretical XRD peak list
Compound: SrMg6Sn
Radiation: Cu Kα
Structure: a cell relaxed with GGA-PBE
No peak broadening, texture or thermal motion is included.

Crystal structure
Cell: 5.074 7.348 7.348 Å, 51.19 90.00 90.00°
Positions (direct):
1 Sr 0.000 0.000 0.000
2 Mg 0.000 0.496 0.977
3 Mg 0.000 0.977 0.496
4 Mg 0.500 0.120 0.628
5 Mg 0.500 0.171 0.171
6 Mg 0.500 0.609 0.609
7 Mg 0.500 0.628 0.120
8 Sn 0.000 0.438 0.438

Most intense lines, 2θ = 10–90°, low angle first:
2theta  I (rel.)
13.36  56
17.48  40
22.06  43
30.29  40
32.27  49
36.02  100

=====

Theoretical XRD peak list
Compound: RbBaIn2Ru
Radiation: Cu Kα
Structure: a cell relaxed with GGA-PBE
No peak broadening, texture or thermal motion is included.

Crystal structure
Cell: 5.309 5.309 5.901 Å, 90.00 90.00 90.00°
Positions (direct):
1 Rb 0.000 0.000 0.000
2 Ba 0.500 0.500 0.000
3 In 0.000 0.500 0.500
4 In 0.500 0.000 0.500
5 Ru 0.000 0.000 0.500

Most intense lines, 2θ = 10–90°, low angle first:
2theta  I (rel.)
22.53  32
28.17  100
30.29  53
33.77  79
45.99  65
58.26  32

=====

Theoretical XRD peak list
Compound: BaAcRuO6
Radiation: Cu Kα
Structure: a cell relaxed with GGA-PBE
No peak broadening, texture or thermal motion is included.

Crystal structure
Cell: 5.906 5.906 5.464 Å, 90.00 90.00 120.00°
Positions (direct):
1 Ba 0.000 0.000 0.000
2 Ac 0.333 0.667 0.500
3 Ru 0.667 0.333 0.500
4 O 0.400 0.063 0.700
5 O 0.400 0.337 0.300
6 O 0.663 0.063 0.300
7 O 0.663 0.600 0.700
8 O 0.937 0.337 0.700
9 O 0.937 0.600 0.300

Most intense lines, 2θ = 10–90°, low angle first:
2theta  I (rel.)
16.22  21
23.83  100
30.26  48
38.88  27
45.22  44
50.05  28

=====

Theoretical XRD peak list
Compound: Er6ThTe8
Radiation: Cu Kα
Structure: a cell relaxed with GGA-PBE
No peak broadening, texture or thermal motion is included.

Crystal structure
Cell: 8.617 8.617 8.617 Å, 60.00 60.00 60.00°
Positions (direct):
1 Er 0.000 0.000 0.500
2 Er 0.000 0.500 0.000
3 Er 0.000 0.500 0.500
4 Er 0.500 0.000 0.000
5 Er 0.500 0.000 0.500
6 Er 0.500 0.500 0.000
7 Th 0.000 0.000 0.000
8 Te 0.250 0.250 0.250
9 Te 0.264 0.264 0.736
10 Te 0.264 0.736 0.264
11 Te 0.264 0.736 0.736
12 Te 0.736 0.264 0.264
13 Te 0.736 0.264 0.736
14 Te 0.736 0.736 0.264
15 Te 0.750 0.750 0.750

Most intense lines, 2θ = 10–90°, low angle first:
2theta  I (rel.)
29.31  100
41.94  75
51.99  26
60.80  12
68.92  33
76.60  24

=====

Theoretical XRD peak list
Compound: Ag3GeAu
Radiation: Cu Kα
Structure: a cell relaxed with GGA-PBE
No peak broadening, texture or thermal motion is included.

Crystal structure
Cell: 7.386 7.386 7.949 Å, 110.17 110.17 71.61°
Positions (direct):
1 Ag 0.009 0.683 0.470
2 Ag 0.071 0.707 0.859
3 Ag 0.293 0.929 0.641
4 Ag 0.307 0.313 0.886
5 Ag 0.313 0.307 0.386
6 Ag 0.317 0.991 0.030
7 Ag 0.683 0.009 0.970
8 Ag 0.687 0.693 0.614
9 Ag 0.693 0.687 0.114
10 Ag 0.707 0.071 0.359
11 Ag 0.929 0.293 0.141
12 Ag 0.991 0.317 0.530
13 Ge 0.150 0.554 0.164
14 Ge 0.446 0.850 0.336
15 Ge 0.554 0.150 0.664
16 Ge 0.850 0.446 0.836
17 Au 0.062 0.938 0.250
18 Au 0.436 0.564 0.750
19 Au 0.564 0.436 0.250
20 Au 0.938 0.062 0.750

Most intense lines, 2θ = 10–90°, low angle first:
2theta  I (rel.)
32.12  68
35.32  71
36.54  100
38.67  69
39.23  62
43.72  74

=====

Theoretical XRD peak list
Compound: Dy2Ho4Tm5
Radiation: Cu Kα
Structure: a cell relaxed with GGA-PBE
No peak broadening, texture or thermal motion is included.

Crystal structure
Cell: 8.526 8.526 9.165 Å, 122.10 122.10 38.18°
Positions (direct):
1 Dy 0.093 0.093 0.256
2 Dy 0.907 0.907 0.744
3 Ho 0.185 0.185 0.988
4 Ho 0.449 0.449 0.196
5 Ho 0.551 0.551 0.804
6 Ho 0.815 0.815 0.012
7 Tm 0.000 0.000 0.500
8 Tm 0.285 0.285 0.744
9 Tm 0.344 0.344 0.438
10 Tm 0.656 0.656 0.562
11 Tm 0.715 0.715 0.256

Most intense lines, 2θ = 10–90°, low angle first:
2theta  I (rel.)
29.96  34
32.10  59
32.43  77
32.74  100
33.43  45
44.49  24

=====

Question: What is the formula in the first record?
Answer: Sm3Zn4In